[1]
This entry pairs a crystal structure of GdCo12B6 with its simulated X-ray powder pattern. Radiation: Cu Kα X-rays. Structure: DFT lattice parameters and positions (GGA-PBE).
Neutral-atom scattering factors, no anomalous dispersion.

Top 12 peaks for 2θ = 15–90°, by angle:
d (Å), 2θ/deg, intensity, h k l
2.840, 31.50, 15, 2 1 1
2.740, 32.68, 40, 2 0 2
2.711, 33.04, 32, 3 0 0
2.187, 41.27, 58, 1 1 3
2.158, 41.85, 100, 1 3 1
1.927, 47.16, 23, 3 1 2
1.827, 49.92, 22, 3 0 3
1.565, 59.01, 22, 3 3 0
1.490, 62.33, 18, 5 0 2
1.442, 64.64, 12, 1 4 3
1.223, 78.16, 11, 0 5 4
1.148, 84.38, 12, 7 0 1

Unit cell a=9.3926 b=9.3926 c=7.4159 alpha=90.00 beta=90.00 gamma=120.00
Space group R-3m (No. 166, hexagonal axes)
Asymmetric unit:
Gd (0.0000, 0.0000, 0.0000) x3
Co (0.0000, 0.3675, 0.5000) x18
Co (0.0902, 0.1803, 0.3668) x18
B (0.0372, 0.5186, 0.2862) x18

[2]
This entry pairs a crystal structure of La5Y2Mg with its simulated X-ray powder pattern. Radiation: Cu Kα X-rays. Structure: DFT lattice parameters and positions (GGA-PBE).
Neutral-atom scattering factors, no anomalous dispersion.

Top 12 peaks for 2θ = 15–90°, by angle:
d (Å), 2θ/deg, intensity, h k l
5.606, 15.81, 7, 1 1 0
4.299, 20.66, 6, 0 2 1
3.200, 27.88, 24, 2 0 0
2.904, 30.79, 25, 0 4 0
2.802, 31.93, 100, 0 2 2
2.150, 42.02, 16, 2 4 0
1.847, 49.33, 19, 2 0 2
1.656, 55.48, 20, 0 6 2
1.559, 59.29, 21, 2 4 2
1.542, 59.97, 15, 4 2 0
1.233, 77.38, 7, 4 6 0
1.184, 81.26, 12, 2 2 4

Unit cell a=7.3939 b=11.6144 c=7.3872 alpha=90.00 beta=120.03 gamma=90.00
Space group Cm (No. 8)
Asymmetric unit:
La (0.0000, 0.0000, 0.0000) x2
La (0.0051, 0.0000, 0.4749) x2
La (0.0335, 0.5000, 0.9998) x2
La (0.3508, 0.2504, 0.6670) x4
Y (0.3535, 0.2402, 0.1731) x4
Mg (0.0125, 0.5000, 0.4906) x2

[3]
This entry pairs a crystal structure of Tm12In6Ni with its simulated X-ray powder pattern. Radiation: Cu Kα X-rays. Structure: DFT lattice parameters and positions (GGA-PBE).
Neutral-atom scattering factors, no anomalous dispersion.

Top 12 peaks for 2θ = 15–90°, by angle:
d (Å), 2θ/deg, intensity, h k l
3.741, 23.78, 17, 3 -1 1
3.129, 28.53, 63, 1 0 4
2.981, 29.98, 26, 2 2 0
2.798, 31.99, 100, 4 -3 1
2.625, 34.16, 42, 4 -1 2
2.512, 35.74, 29, 2 1 4
2.464, 36.47, 89, 4 -2 3
2.179, 41.44, 20, 1 2 5
1.836, 49.64, 14, 5 1 1
1.569, 58.84, 17, 4 -3 7
1.547, 59.79, 16, 7 -5 3
1.350, 69.62, 14, 7 -1 5

Unit cell a=11.9233 b=11.9233 c=13.1324 alpha=90.00 beta=90.00 gamma=120.00
Space group R-3 (No. 148, hexagonal axes)
Asymmetric unit:
Tm (0.0339, 0.8495, 0.3715) x18
Tm (0.0365, 0.1869, 0.8922) x18
In (0.0025, 0.3957, 0.7607) x18
Ni (0.0000, 0.0000, 0.5000) x3

[4]
This entry pairs a crystal structure of Ti4SnH with its simulated X-ray powder pattern. Radiation: Cu Kα X-rays. Structure: DFT lattice parameters and positions (GGA-PBE).
Neutral-atom scattering factors, no anomalous dispersion.

Top 12 peaks for 2θ = 15–90°, by angle:
d (Å), 2θ/deg, intensity, h k l
3.323, 26.83, 17, 1 0 1
3.220, 27.71, 20, 0 0 2
2.743, 32.64, 14, 1 1 0
2.524, 35.57, 100, 1 1 1
2.478, 36.26, 40, 1 0 2
1.940, 46.83, 32, 2 0 0
1.878, 48.47, 28, 1 0 3
1.662, 55.29, 11, 2 0 2
1.527, 60.63, 18, 2 1 2
1.372, 68.39, 10, 2 2 0
1.349, 69.69, 19, 2 1 3
1.205, 79.53, 18, 3 1 1

Unit cell a=3.8799 b=3.8799 c=6.4391 alpha=90.00 beta=90.00 gamma=90.00
Space group P4/mmm (No. 123)
Asymmetric unit:
Ti (0.0000, 0.0000, 0.1689) x2
Ti (0.0000, 0.5000, 0.5000) x2
Sn (0.5000, 0.5000, 0.0000) x1
H (0.0000, 0.0000, 0.5000) x1

[5]
This entry pairs a crystal structure of Sm2As4Pd5 with its simulated X-ray powder pattern. Radiation: Cu Kα X-rays. Structure: DFT lattice parameters and positions (GGA-PBE).
Neutral-atom scattering factors, no anomalous dispersion.

Top 12 peaks for 2θ = 15–90°, by angle:
d (Å), 2θ/deg, intensity, h k l
3.553, 25.06, 20, 1 1 3
3.017, 29.61, 36, 0 2 4
2.797, 32.00, 18, 1 3 1
2.481, 36.20, 100, 2 2 0
2.295, 39.26, 52, 2 0 4
2.081, 43.48, 25, 1 3 5
1.911, 47.59, 21, 0 0 8
1.571, 58.76, 14, 3 3 3
1.513, 61.25, 16, 2 2 8
1.506, 61.60, 13, 0 6 4
1.423, 65.63, 16, 2 6 0
1.141, 85.00, 14, 2 6 8

Unit cell a=5.7392 b=9.8280 c=15.2874 alpha=90.00 beta=90.00 gamma=90.00
Space group Fmmm (No. 69)
Asymmetric unit:
Sm (0.0000, 0.0000, 0.1386) x8
As (0.0000, 0.1493, 0.3691) x16
Pd (0.0000, 0.0000, 0.5000) x4
Pd (0.2500, 0.2500, 0.0000) x8
Pd (0.2500, 0.2500, 0.2500) x8

[6]
This entry pairs a crystal structure of Ti8Bi2Sb with its simulated X-ray powder pattern. Radiation: Cu Kα X-rays. Structure: DFT lattice parameters and positions (GGA-PBE).
Neutral-atom scattering factors, no anomalous dispersion.

Top 12 peaks for 2θ = 15–90°, by angle:
d (Å), 2θ/deg, intensity, h k l
3.860, 23.04, 52, 1 1 -1
3.716, 23.94, 28, 2 0 1
3.540, 25.16, 29, 2 0 -2
3.249, 27.45, 20, 3 1 -1
3.107, 28.74, 30, 3 1 0
2.408, 37.35, 75, 5 1 -1
2.387, 37.68, 100, 1 1 2
2.300, 39.17, 78, 0 2 0
1.774, 51.52, 16, 6 0 1
1.626, 56.60, 25, 4 2 -3
1.344, 69.99, 16, 1 3 2
1.194, 80.46, 15, 2 2 4

Unit cell a=14.1529 b=4.6007 c=7.1026 alpha=90.00 beta=116.77 gamma=90.00
Space group C2/m (No. 12)
Asymmetric unit:
Ti (0.0320, 0.0000, 0.2556) x4
Ti (0.0821, 0.5000, 0.9402) x4
Ti (0.1487, 0.0000, 0.6943) x4
Ti (0.1726, 0.5000, 0.3942) x4
Bi (0.2052, 0.0000, 0.1477) x4
Sb (0.0000, 0.5000, 0.5000) x2

[7]
This entry pairs a crystal structure of Pm7AsSe5 with its simulated X-ray powder pattern. Radiation: Cu Kα X-rays. Structure: DFT lattice parameters and positions (GGA-PBE).
Neutral-atom scattering factors, no anomalous dispersion.

Top 12 peaks for 2θ = 15–90°, by angle:
d (Å), 2θ/deg, intensity, h k l
3.157, 28.27, 74, 0 2 7
3.037, 29.41, 32, 1 3 1
2.971, 30.08, 100, 1 3 2
2.871, 31.16, 62, 1 3 3
2.833, 31.58, 42, 0 2 8
2.265, 39.80, 34, 1 1 9
2.143, 42.16, 21, 0 6 4
2.106, 42.95, 32, 1 1 10
2.075, 43.62, 58, 0 6 5
2.060, 43.95, 37, 2 0 0
2.000, 45.36, 23, 1 5 6
1.725, 53.09, 27, 2 2 7

Unit cell a=4.1204 b=13.7016 c=24.8969 alpha=90.00 beta=90.00 gamma=90.00
Space group Cmc2_1 (No. 36)
Asymmetric unit:
Pm (0.0000, 0.0359, 0.0000) x4
Pm (0.0000, 0.1252, 0.2841) x4
Pm (0.0000, 0.1522, 0.7085) x4
Pm (0.0000, 0.2921, 0.0671) x4
Pm (0.0000, 0.3135, 0.9281) x4
Pm (0.0000, 0.3965, 0.3674) x4
Pm (0.0000, 0.4306, 0.6400) x4
As (0.0000, 0.3096, 0.4851) x4
Se (0.0000, 0.0433, 0.3924) x4
Se (0.0000, 0.0672, 0.6018) x4
Se (0.0000, 0.2091, 0.1751) x4
Se (0.0000, 0.2343, 0.8197) x4
Se (0.0000, 0.4833, 0.2505) x4

[8]
This entry pairs a crystal structure of Sr2CdSnHg6 with its simulated X-ray powder pattern. Radiation: Cu Kα X-rays. Structure: DFT lattice parameters and positions (GGA-PBE).
Neutral-atom scattering factors, no anomalous dispersion.

Top 12 peaks for 2θ = 15–90°, by angle:
d (Å), 2θ/deg, intensity, h k l
5.393, 16.44, 100, 0 1 -1
2.958, 30.21, 73, 0 1 2
2.915, 30.67, 85, 0 2 1
2.739, 32.69, 38, 2 0 -1
2.710, 33.05, 27, 2 -1 0
2.697, 33.22, 58, 0 2 -2
2.587, 34.68, 71, 2 0 -2
2.577, 34.81, 42, 1 2 -1
2.522, 35.60, 53, 2 -2 0
2.386, 37.70, 42, -2 2 2
2.295, 39.26, 38, 0 3 0
1.854, 49.14, 27, 2 1 1

Unit cell a=5.8150 b=7.4002 c=7.6971 alpha=91.28 beta=111.23 gamma=109.46
Space group P-1 (No. 2)
Asymmetric unit:
Sr (0.2309, 0.2262, 0.2427) x2
Cd (0.0000, 0.5000, 0.5000) x1
Sn (0.5000, 0.0000, 0.0000) x1
Hg (0.1693, 0.6848, 0.1734) x2
Hg (0.2512, 0.9380, 0.5701) x2
Hg (0.3390, 0.3532, 0.8094) x2

[9]
This entry pairs a crystal structure of Rb3CeAs2S8 with its simulated X-ray powder pattern. Radiation: Cu Kα X-rays. Structure: DFT lattice parameters and positions (GGA-PBE).
Neutral-atom scattering factors, no anomalous dispersion.

Top 12 peaks for 2θ = 15–90°, by angle:
d (Å), 2θ/deg, intensity, h k l
5.262, 16.85, 14, 1 0 1
3.799, 23.41, 68, 0 1 2
3.647, 24.41, 100, 1 1 0
2.834, 31.57, 12, 0 1 3
2.631, 34.08, 62, 2 0 2
2.134, 42.36, 29, 1 2 2
2.106, 42.96, 22, 3 0 0
1.992, 45.54, 12, 1 1 4
1.900, 47.88, 14, 0 2 4
1.823, 50.03, 36, 2 2 0
1.644, 55.93, 13, 3 1 2
1.378, 68.01, 11, 4 1 0

Unit cell a=7.2937 b=7.2937 c=9.5121 alpha=90.00 beta=90.00 gamma=120.00
Space group P-3m1 (No. 164)
Asymmetric unit:
Rb (0.0000, 0.0000, 0.0000) x1
Rb (0.3333, 0.6667, 0.6593) x2
Ce (0.0000, 0.0000, 0.5000) x1
As (0.3333, 0.6667, 0.2335) x2
S (0.1666, 0.3331, 0.3155) x6
S (0.3333, 0.6667, 0.0129) x2